Structure and theoretical powder diffraction line list of LaTmSeS (a DFT-relaxed cell (PBE, Alexandria); a wavelength of 1.5418 Å).
Peak positions follow from Bragg's law for the DFT cell and can differ from measured ones.

Structural model:
Lattice parameters (Å, degrees): 3.9509 3.9509 21.5582 90.00 90.00 120.00
Fractional positions:
La: 0.0000 0.0000 0.0000
La: 0.3333 0.6667 0.6667
La: 0.6667 0.3333 0.3333
Tm: 0.0000 0.0000 0.1840
Tm: 0.3333 0.6667 0.8507
Tm: 0.6667 0.3333 0.5174
Se: 0.0000 0.0000 0.4314
Se: 0.3333 0.6667 0.0981
Se: 0.6667 0.3333 0.7648
S: 0.0000 0.0000 0.5862
S: 0.3333 0.6667 0.2528
S: 0.6667 0.3333 0.9195

Principal peaks in the range 2θ = 10–90°, in order of rising 2θ:
2θ (°)	Rel. int.	hkl
26.37	56	1 0 1
27.35	22	0 1 2
30.96	53	1 0 4
33.43	100	0 1 5
39.36	38	1 0 7
45.94	55	1 1 0

=====

Structure and theoretical powder diffraction line list of NiPC (a DFT-relaxed cell (PBE, Alexandria); a wavelength of 1.5418 Å).
Peak positions follow from Bragg's law for the DFT cell and can differ from measured ones.

Structural model:
Lattice parameters (Å, degrees): 2.9228 2.9231 9.5052 86.64 86.89 60.02
Fractional positions:
Ni: 0.1777 0.1811 0.3975
Ni: 0.8223 0.8189 0.6025
P: 0.4718 0.4624 0.7693
P: 0.5282 0.5376 0.2307
C: 0.2012 0.2123 0.1714
C: 0.7988 0.7877 0.8286

Principal peaks in the range 2θ = 10–90°, in order of rising 2θ:
2θ (°)	Rel. int.	hkl
36.45	100	1 0 1
37.44	74	1 1 -1
39.76	72	0 1 2
39.89	70	1 0 2
41.59	49	1 1 -2
51.09	45	1 1 4